1.
The following is a simulated powder diffraction line list of CePaRu4. It was derived from a cell relaxed with GGA-PBE, using CuKα.

Most intense lines, 2θ from 10° to 90°, in order of rising 2θ:
| 2θ/deg | d/Å | I (rel.) |
| --- | --- | --- |
| 20.4 | 4.358 | 5 |
| 23.6 | 3.774 | 3 |
| 33.6 | 2.669 | 48 |
| 39.6 | 2.276 | 100 |
| 41.4 | 2.179 | 24 |
| 54.4 | 1.688 | 1 |
| 60.0 | 1.541 | 18 |
| 64.1 | 1.453 | 32 |
| 70.6 | 1.334 | 25 |
| 80.5 | 1.193 | 8 |
| 84.1 | 1.151 | 11 |
| 85.3 | 1.138 | 9 |

Structural model:
Cell: 5.337 5.337 5.337 Å, 60.00 60.00 60.00°
Atoms (fractional coordinates):
1 Ce 0.000 0.000 0.000
2 Pa 0.750 0.750 0.750
3 Ru 0.375 0.375 0.375
4 Ru 0.375 0.375 0.875
5 Ru 0.375 0.875 0.375
6 Ru 0.875 0.375 0.375

***

2.
The following is a simulated powder diffraction line list of Ce2PaRu2. It was derived from a cell relaxed with GGA-PBE, using CuKα.

Most intense lines, 2θ from 10° to 90°, in order of rising 2θ:
| 2θ/deg | d/Å | I (rel.) |
| --- | --- | --- |
| 17.4 | 5.091 | 28 |
| 31.5 | 2.844 | 44 |
| 31.7 | 2.820 | 53 |
| 32.4 | 2.765 | 100 |
| 34.7 | 2.586 | 86 |
| 36.1 | 2.487 | 50 |
| 38.0 | 2.366 | 85 |
| 38.2 | 2.357 | 79 |
| 39.9 | 2.262 | 41 |
| 49.3 | 1.847 | 26 |
| 54.0 | 1.697 | 28 |
| 63.8 | 1.459 | 36 |

Structural model:
Cell: 5.845 5.845 7.777 Å, 98.16 98.16 60.95°
Atoms (fractional coordinates):
1 Ce 0.019 0.285 0.155
2 Ce 0.285 0.019 0.655
3 Ce 0.715 0.981 0.345
4 Ce 0.981 0.715 0.845
5 Pa 0.337 0.663 0.250
6 Pa 0.663 0.337 0.750
7 Ru 0.241 0.512 0.500
8 Ru 0.488 0.759 0.000
9 Ru 0.512 0.241 0.000
10 Ru 0.759 0.488 0.500

***

3.
The following is a simulated powder diffraction line list of CePaRu2. It was derived from a cell relaxed with GGA-PBE, using CuKα.

Most intense lines, 2θ from 10° to 90°, in order of rising 2θ:
| 2θ/deg | d/Å | I (rel.) |
| --- | --- | --- |
| 30.3 | 2.948 | 14 |
| 31.3 | 2.857 | 72 |
| 34.0 | 2.640 | 38 |
| 34.1 | 2.627 | 100 |
| 40.6 | 2.221 | 19 |
| 41.0 | 2.204 | 40 |
| 41.2 | 2.189 | 21 |
| 47.6 | 1.911 | 56 |
| 52.4 | 1.745 | 15 |
| 57.7 | 1.597 | 28 |
| 58.4 | 1.581 | 24 |
| 69.6 | 1.351 | 18 |

Structural model:
Cell: 5.408 5.403 11.786 Å, 90.00 104.12 90.00°
Atoms (fractional coordinates):
1 Ce 0.191 0.131 0.139
2 Ce 0.191 0.869 0.639
3 Ce 0.809 0.131 0.361
4 Ce 0.809 0.869 0.861
5 Pa 0.310 0.367 0.864
6 Pa 0.310 0.633 0.364
7 Pa 0.690 0.367 0.636
8 Pa 0.690 0.633 0.136
9 Ru 0.172 0.370 0.604
10 Ru 0.172 0.630 0.104
11 Ru 0.332 0.138 0.406
12 Ru 0.332 0.862 0.906
13 Ru 0.668 0.138 0.094
14 Ru 0.668 0.862 0.594
15 Ru 0.828 0.370 0.896
16 Ru 0.828 0.630 0.396

***

4.
The following is a simulated powder diffraction line list of Ce3PaS7. It was derived from a cell relaxed with GGA-PBE, using CuKα.

Most intense lines, 2θ from 10° to 90°, in order of rising 2θ:
| 2θ/deg | d/Å | I (rel.) |
| --- | --- | --- |
| 11.9 | 7.441 | 13 |
| 23.1 | 3.858 | 100 |
| 23.9 | 3.721 | 94 |
| 26.9 | 3.318 | 16 |
| 27.3 | 3.262 | 35 |
| 37.9 | 2.371 | 27 |
| 38.7 | 2.326 | 72 |
| 45.4 | 2.000 | 34 |
| 45.7 | 1.984 | 13 |
| 46.8 | 1.942 | 23 |
| 49.8 | 1.832 | 16 |
| 69.1 | 1.360 | 13 |

Structural model:
Cell: 8.014 8.014 9.485 Å, 90.00 90.00 68.21°
Atoms (fractional coordinates):
1 Ce 0.000 0.000 0.000
2 Ce 0.000 0.000 0.500
3 Ce 0.081 0.484 0.750
4 Ce 0.484 0.081 0.250
5 Ce 0.516 0.919 0.750
6 Ce 0.919 0.516 0.250
7 Pa 0.500 0.500 0.000
8 Pa 0.500 0.500 0.500
9 S 0.109 0.153 0.250
10 S 0.153 0.109 0.750
11 S 0.156 0.575 0.041
12 S 0.156 0.575 0.459
13 S 0.379 0.621 0.750
14 S 0.425 0.844 0.041
15 S 0.425 0.844 0.459
16 S 0.575 0.156 0.541
17 S 0.575 0.156 0.959
18 S 0.621 0.379 0.250
19 S 0.844 0.425 0.541
20 S 0.844 0.425 0.959
21 S 0.847 0.891 0.250
22 S 0.891 0.847 0.750